Entry 1:
For Dy5Co2Hg, the PBE geometry in OQMD gives the calculated powder XRD pattern in this record (a wavelength of 1.5418 Å).
No peak broadening, texture or thermal motion is included.

Peak list (10 most intense, 10° ≤ 2θ ≤ 90°, sorted by position)
27.11 deg, I = 32; 31.75 deg, I = 45; 33.31 deg, I = 100; 35.99 deg, I = 53; 37.46 deg, I = 73; 43.34 deg, I = 25; 53.98 deg, I = 25; 55.83 deg, I = 17; 58.64 deg, I = 28; 68.90 deg, I = 23

Structural model:
a b c (Å): 7.592 7.592 13.244
angles (deg): 90.00 90.00 90.00
Space group I4/mcm (No. 140)
Asymmetric unit:
Dy: 0.000 0.000 0.000 [4 per cell]
Dy: 0.161 0.339 0.133 [16 per cell]
Co: 0.135 0.365 0.500 [8 per cell]
Hg: 0.000 0.000 0.250 [4 per cell]

=====

Entry 2:
For Dy2HoCo2, the PBE geometry in OQMD gives the calculated powder XRD pattern in this record (a wavelength of 1.5418 Å).
No peak broadening, texture or thermal motion is included.

Peak list (10 most intense, 10° ≤ 2θ ≤ 90°, sorted by position)
29.05 deg, I = 56; 30.58 deg, I = 50; 32.31 deg, I = 30; 33.76 deg, I = 100; 34.09 deg, I = 91; 34.45 deg, I = 50; 36.16 deg, I = 48; 42.16 deg, I = 38; 48.40 deg, I = 37; 57.48 deg, I = 29

Structural model:
a b c (Å): 13.065 3.761 9.320
angles (deg): 90.00 109.79 90.00
Space group C2/m (No. 12)
Asymmetric unit:
Dy: 0.133 0.000 0.495 [4 per cell]
Dy: 0.135 0.000 0.868 [4 per cell]
Ho: 0.108 0.500 0.180 [4 per cell]
Co: 0.035 0.500 0.642 [4 per cell]
Co: 0.236 0.500 0.735 [4 per cell]

=====

Entry 3:
For DyHoInCo2, the PBE geometry in OQMD gives the calculated powder XRD pattern in this record (a wavelength of 1.5418 Å).
No peak broadening, texture or thermal motion is included.

Peak list (10 most intense, 10° ≤ 2θ ≤ 90°, sorted by position)
30.48 deg, I = 47; 33.54 deg, I = 100; 34.85 deg, I = 80; 38.45 deg, I = 35; 40.44 deg, I = 28; 46.73 deg, I = 24; 47.64 deg, I = 23; 57.90 deg, I = 17; 60.36 deg, I = 32; 63.46 deg, I = 19

Structural model:
a b c (Å): 3.888 3.818 13.743
angles (deg): 90.00 90.00 90.00
Space group Amm2 (No. 38)
Asymmetric unit:
Dy: 0.000 0.000 0.000 [2 per cell]
Ho: 0.000 0.000 0.721 [2 per cell]
In: 0.500 0.000 0.360 [2 per cell]
Co: 0.500 0.000 0.155 [2 per cell]
Co: 0.500 0.000 0.567 [2 per cell]

=====

Entry 4:
For Dy2HoCoNi8, the PBE geometry in OQMD gives the calculated powder XRD pattern in this record (a wavelength of 1.5418 Å).
No peak broadening, texture or thermal motion is included.

Peak list (10 most intense, 10° ≤ 2θ ≤ 90°, sorted by position)
33.27 deg, I = 53; 36.29 deg, I = 42; 36.52 deg, I = 56; 42.60 deg, I = 41; 43.00 deg, I = 100; 46.53 deg, I = 15; 63.68 deg, I = 17; 65.59 deg, I = 15; 70.21 deg, I = 22; 77.62 deg, I = 22

Structural model:
a b c (Å): 4.9203 4.9203 24.3286
angles (deg): 90.00 90.00 120.00
Space group R-3m (No. 166, hexagonal axes)
Asymmetric unit:
Dy: 0.0000 0.0000 0.1394 [6 per cell]
Ho: 0.0000 0.0000 0.0000 [3 per cell]
Co: 0.0000 0.0000 0.5000 [3 per cell]
Ni: 0.0000 0.0000 0.3330 [6 per cell]
Ni: 0.0000 0.5000 0.0822 [18 per cell]

=====

Entry 5:
For Dy2HoCo3Ni6, the PBE geometry in OQMD gives the calculated powder XRD pattern in this record (a wavelength of 1.5418 Å).
No peak broadening, texture or thermal motion is included.

Peak list (10 most intense, 10° ≤ 2θ ≤ 90°, sorted by position)
33.23 deg, I = 56; 36.25 deg, I = 45; 36.53 deg, I = 56; 42.61 deg, I = 43; 42.99 deg, I = 100; 46.53 deg, I = 15; 63.67 deg, I = 17; 65.58 deg, I = 16; 70.22 deg, I = 22; 77.64 deg, I = 22

Structural model:
a b c (Å): 4.9190 4.9190 24.3736
angles (deg): 90.00 90.00 120.00
Space group R-3m (No. 166, hexagonal axes)
Asymmetric unit:
Dy: 0.0000 0.0000 0.1392 [6 per cell]
Ho: 0.0000 0.0000 0.0000 [3 per cell]
Co: 0.0000 0.0000 0.3329 [6 per cell]
Co: 0.0000 0.0000 0.5000 [3 per cell]
Ni: 0.0012 0.5006 0.0815 [18 per cell]

=====

Entry 6:
For DyHoCo2Pb, the PBE geometry in OQMD gives the calculated powder XRD pattern in this record (a wavelength of 1.5418 Å).
No peak broadening, texture or thermal motion is included.

Peak list (10 most intense, 10° ≤ 2θ ≤ 90°, sorted by position)
30.02 deg, I = 54; 33.58 deg, I = 100; 34.56 deg, I = 75; 38.30 deg, I = 24; 39.65 deg, I = 29; 47.24 deg, I = 21; 47.34 deg, I = 21; 56.93 deg, I = 20; 57.08 deg, I = 19; 59.83 deg, I = 31

Structural model:
a b c (Å): 3.840 3.848 14.088
angles (deg): 90.00 90.00 90.00
Space group Amm2 (No. 38)
Asymmetric unit:
Dy: 0.000 0.000 0.000 [2 per cell]
Ho: 0.000 0.000 0.719 [2 per cell]
Co: 0.500 0.000 0.153 [2 per cell]
Co: 0.500 0.000 0.567 [2 per cell]
Pb: 0.500 0.000 0.359 [2 per cell]

=====

Entry 7:
For Pr3DyHo2CoTe2, the PBE geometry in OQMD gives the calculated powder XRD pattern in this record (a wavelength of 1.5418 Å).
No peak broadening, texture or thermal motion is included.

Peak list (10 most intense, 10° ≤ 2θ ≤ 90°, sorted by position)
30.54 deg, I = 100; 32.20 deg, I = 83; 32.93 deg, I = 70; 36.65 deg, I = 25; 39.34 deg, I = 38; 44.87 deg, I = 22; 50.09 deg, I = 22; 56.29 deg, I = 34; 59.33 deg, I = 38; 62.24 deg, I = 19

Structural model:
a b c (Å): 4.040 14.712 8.492
angles (deg): 90.00 90.00 90.00
Space group Amm2 (No. 38)
Asymmetric unit:
Pr: 0.000 0.000 0.000 [2 per cell]
Pr: 0.000 0.202 0.605 [4 per cell]
Dy: 0.500 0.000 0.633 [2 per cell]
Ho: 0.500 0.115 0.288 [4 per cell]
Co: 0.000 0.000 0.402 [2 per cell]
Te: 0.500 0.167 0.903 [4 per cell]

=====

Entry 8:
For Dy11In9Co4, the PBE geometry in OQMD gives the calculated powder XRD pattern in this record (a wavelength of 1.5418 Å).
No peak broadening, texture or thermal motion is included.

Peak list (10 most intense, 10° ≤ 2θ ≤ 90°, sorted by position)
27.80 deg, I = 11; 31.09 deg, I = 13; 33.28 deg, I = 12; 35.05 deg, I = 100; 35.27 deg, I = 39; 37.33 deg, I = 16; 38.38 deg, I = 13; 50.08 deg, I = 16; 62.74 deg, I = 16; 64.78 deg, I = 11

Structural model:
a b c (Å): 14.419 21.557 3.642
angles (deg): 90.00 90.00 90.00
Space group Cmmm (No. 65)
Asymmetric unit:
Dy: 0.000 0.000 0.000 [2 per cell]
Dy: 0.000 0.161 0.000 [4 per cell]
Dy: 0.000 0.375 0.000 [4 per cell]
Dy: 0.186 0.500 0.000 [4 per cell]
Dy: 0.249 0.333 0.000 [8 per cell]
In: 0.000 0.500 0.500 [2 per cell]
In: 0.105 0.264 0.500 [8 per cell]
In: 0.150 0.071 0.500 [8 per cell]
Co: 0.152 0.399 0.500 [8 per cell]